Structure and simulated powder XRD pattern of Ta2SbPt (a crystal structure in Alexandria, relaxed with GGA-PBE; Cu Kα X-rays).

Most intense lines, 2θ = 10–80°, low angle first:
(1 1 2), 2θ = 37.0°, d = 2.430 Å, rel. 100.0
(0 2 0), 2θ = 39.0°, d = 2.312 Å, rel. 22.5
(0 0 4), 2θ = 40.8°, d = 2.212 Å, rel. 17.2
(2 0 0), 2θ = 48.7°, d = 1.870 Å, rel. 11.9
(0 2 4), 2θ = 57.7°, d = 1.598 Å, rel. 12.5
(2 2 0), 2θ = 64.0°, d = 1.454 Å, rel. 10.5
(1 3 2), 2θ = 69.3°, d = 1.356 Å, rel. 16.1
(1 1 6), 2θ = 71.8°, d = 1.315 Å, rel. 11.0

Crystal structure
a = 3.740 Å, b = 4.624 Å, c = 8.847 Å
α = 90.00°, β = 90.00°, γ = 90.00°
Fractional coordinates of all 8 atoms:
Ta 0.000 0.000 0.000
Ta 0.000 0.500 0.247
Ta 0.500 0.000 0.247
Ta 0.500 0.500 0.000
Sb 0.000 0.500 0.741
Sb 0.500 0.000 0.741
Pt 0.000 0.000 0.465
Pt 0.500 0.500 0.465